Simulated X-ray powder pattern of Mo4Ir for Cu Kα, from a structure optimized by DFT (GGA-PBE).
Lines closer than 0.1° are merged.

```
Mo4Ir
1.0
1.3879 0.8013 11.8267
-1.3879 0.8013 11.8267
0.0000 -1.6026 11.8267
Mo Ir
4 1
Direct
0.1027 0.1027 0.1027
0.2993 0.2993 0.2993
0.7007 0.7007 0.7007
0.8973 0.8973 0.8973
0.5000 0.5000 0.5000
```

Main lines, in order of rising 2θ (15° ≤ 2θ ≤ 90°):
38.0°, intensity 37
39.6°, intensity 100
45.6°, intensity 66
65.4°, intensity 21
67.5°, intensity 20
78.2°, intensity 13
80.2°, intensity 25
81.2°, intensity 12
81.4°, intensity 4
85.2°, intensity 11

=====

Simulated X-ray powder pattern of Mo6IrRu for Cu Kα, from a structure optimized by DFT (GGA-PBE).
Lines closer than 0.1° are merged.

```
Mo6IrRu
1.0
5.0014 0.0000 0.0000
0.0000 5.0014 0.0000
0.0000 0.0000 5.0014
Mo Ir Ru
6 1 1
Direct
0.0000 0.2508 0.5000
0.0000 0.7492 0.5000
0.2508 0.5000 0.0000
0.5000 0.0000 0.2508
0.5000 0.0000 0.7492
0.7492 0.5000 0.0000
0.0000 0.0000 0.0000
0.5000 0.5000 0.5000
```

Main lines, in order of rising 2θ (15° ≤ 2θ ≤ 90°):
17.7°, intensity 7
25.2°, intensity 8
35.9°, intensity 46
40.3°, intensity 88
44.4°, intensity 100
67.5°, intensity 19
70.4°, intensity 50
76.1°, intensity 16
87.2°, intensity 15
89.9°, intensity 18